Diffraction record for Tb3Cd2In2. The powder diffractogram is theoretical, not measured: it uses the GGA-PBE geometry in Alexandria and Cu Kα.
Intensities are scaled so that the largest is 100.

The 10 most intense peaks (2θ from 10° to 90°), sorted by position:
| 2theta | I_rel |
| --- | --- |
| 32.6 | 98 |
| 33.9 | 100 |
| 34.6 | 16 |
| 35.9 | 58 |
| 37.6 | 42 |
| 52.9 | 37 |
| 54.0 | 14 |
| 64.0 | 24 |
| 65.3 | 29 |
| 67.7 | 14 |

Atomic structure:
```
Tb3Cd2In2
1.0
2.393 -11.112 0.000
2.393 11.112 0.000
0.000 0.000 3.397
Tb Cd In
3 2 2
Cartesian
0.000 0.000 0.000
2.393 7.682 0.000
2.393 -7.682 0.000
2.393 4.795 1.698
2.393 -4.795 1.698
2.393 1.713 1.698
2.393 -1.713 1.698
```



Diffraction record for Tb6Cd5In. The powder diffractogram is theoretical, not measured: it uses the GGA-PBE geometry in Alexandria and Cu Kα.
Intensities are scaled so that the largest is 100.

The 10 most intense peaks (2θ from 10° to 90°), sorted by position:
| 2theta | I_rel |
| --- | --- |
| 33.7 | 100 |
| 33.8 | 20 |
| 48.2 | 7 |
| 48.5 | 14 |
| 60.1 | 15 |
| 60.2 | 15 |
| 60.3 | 15 |
| 70.8 | 9 |
| 80.5 | 6 |
| 80.9 | 6 |

Atomic structure:
```
Tb6Cd5In
1.0
5.307 0.000 0.000
0.000 7.551 0.000
-2.641 0.000 7.979
Tb Cd In
6 5 1
Cartesian
0.000 1.883 0.000
0.000 5.668 0.000
0.008 1.880 5.316
0.008 5.671 5.316
2.658 1.880 2.663
2.658 5.671 2.663
0.006 0.000 2.656
0.004 3.776 2.692
2.653 0.000 0.000
2.662 3.776 5.287
2.660 0.000 5.323
2.653 3.776 0.000
```



Diffraction record for TbTlCdIn. The powder diffractogram is theoretical, not measured: it uses the GGA-PBE geometry in Alexandria and Cu Kα.
Intensities are scaled so that the largest is 100.

The 10 most intense peaks (2θ from 10° to 90°), sorted by position:
| 2theta | I_rel |
| --- | --- |
| 33.4 | 100 |
| 38.3 | 17 |
| 38.6 | 17 |
| 39.3 | 16 |
| 55.5 | 12 |
| 56.1 | 11 |
| 66.2 | 14 |
| 66.5 | 13 |
| 67.6 | 13 |
| 70.1 | 11 |

Atomic structure:
```
TbTlCdIn
1.0
4.580 0.000 0.000
0.000 4.669 0.000
0.000 0.000 4.696
Tb Tl Cd In
1 1 1 1
Cartesian
0.000 0.000 0.000
2.290 2.334 0.000
0.000 2.334 2.348
2.290 0.000 2.348
```



Diffraction record for CdIn5Te4. The powder diffractogram is theoretical, not measured: it uses the GGA-PBE geometry in Alexandria and Cu Kα.
Intensities are scaled so that the largest is 100.

The 10 most intense peaks (2θ from 10° to 90°), sorted by position:
| 2theta | I_rel |
| --- | --- |
| 19.5 | 44 |
| 24.3 | 32 |
| 25.4 | 100 |
| 29.7 | 65 |
| 31.3 | 29 |
| 33.8 | 44 |
| 36.3 | 53 |
| 37.1 | 51 |
| 40.1 | 33 |
| 45.1 | 36 |

Atomic structure:
```
CdIn5Te4
1.0
8.594 0.000 0.000
0.000 12.018 0.000
0.000 0.000 7.003
Cd In Te
2 10 8
Cartesian
2.149 3.005 1.116
6.446 9.014 5.888
0.541 0.174 5.470
0.541 5.835 5.470
2.149 9.014 5.369
3.757 0.174 5.470
3.757 5.835 5.470
4.838 6.183 1.534
4.838 11.844 1.534
6.446 3.005 1.634
8.054 6.183 1.534
8.054 11.844 1.534
0.081 9.014 0.689
2.149 0.621 2.731
2.149 5.388 2.731
4.216 9.014 0.689
4.378 3.005 6.315
6.446 6.631 4.272
6.446 11.397 4.272
8.513 3.005 6.315
```



Diffraction record for Th4CdIn5. The powder diffractogram is theoretical, not measured: it uses the GGA-PBE geometry in Alexandria and Cu Kα.
Intensities are scaled so that the largest is 100.

The 10 most intense peaks (2θ from 10° to 90°), sorted by position:
| 2theta | I_rel |
| --- | --- |
| 27.3 | 46 |
| 27.9 | 100 |
| 29.2 | 36 |
| 30.2 | 74 |
| 33.6 | 96 |
| 34.1 | 66 |
| 36.1 | 40 |
| 37.8 | 77 |
| 42.7 | 27 |
| 59.2 | 36 |

Atomic structure:
```
Th4CdIn5
1.0
6.975 0.000 0.000
0.000 10.724 0.000
0.000 0.000 7.993
Th Cd In
8 2 10
Cartesian
0.007 2.681 1.582
1.744 6.068 4.012
1.744 10.019 4.012
3.481 2.681 1.582
3.494 8.043 6.411
5.231 0.706 3.981
5.231 4.656 3.981
6.968 8.043 6.411
1.744 2.681 4.504
5.231 8.043 3.490
0.292 0.648 6.693
0.292 4.715 6.693
1.744 8.043 1.269
3.195 0.648 6.693
3.195 4.715 6.693
3.780 6.010 1.300
3.780 10.077 1.300
5.231 2.681 6.725
6.683 6.010 1.300
6.683 10.077 1.300
```



Diffraction record for ThCd2In2. The powder diffractogram is theoretical, not measured: it uses the GGA-PBE geometry in Alexandria and Cu Kα.
Intensities are scaled so that the largest is 100.

The 10 most intense peaks (2θ from 10° to 90°), sorted by position:
| 2theta | I_rel |
| --- | --- |
| 13.9 | 21 |
| 19.5 | 23 |
| 28.8 | 49 |
| 34.1 | 100 |
| 34.5 | 63 |
| 45.3 | 14 |
| 49.3 | 23 |
| 61.1 | 18 |
| 61.3 | 24 |
| 69.2 | 22 |

Atomic structure:
```
ThCd2In2
1.0
5.251 0.000 0.000
-2.626 4.548 0.000
0.000 0.000 12.698
Th Cd In
2 4 4
Cartesian
0.000 0.000 3.175
0.000 0.000 9.524
0.000 3.032 1.432
0.000 3.032 4.917
2.626 1.516 7.781
2.626 1.516 11.267
0.000 0.000 0.000
0.000 0.000 6.349
0.000 3.032 9.524
2.626 1.516 3.175
```



Diffraction record for Th2CdIn3. The powder diffractogram is theoretical, not measured: it uses the GGA-PBE geometry in Alexandria and Cu Kα.
Intensities are scaled so that the largest is 100.

The 10 most intense peaks (2θ from 10° to 90°), sorted by position:
| 2theta | I_rel |
| --- | --- |
| 20.4 | 14 |
| 31.9 | 100 |
| 35.7 | 67 |
| 48.6 | 31 |
| 49.7 | 9 |
| 61.7 | 30 |
| 62.7 | 26 |
| 64.1 | 12 |
| 84.3 | 13 |
| 85.2 | 11 |

Atomic structure:
```
Th2CdIn3
1.0
0.000 5.032 8.724
3.669 0.000 8.724
3.669 5.032 0.000
Th Cd In
4 2 6
Cartesian
5.516 5.032 8.724
1.834 2.516 4.362
5.503 7.548 13.086
1.822 5.032 8.724
3.669 5.032 5.818
3.669 5.032 11.631
3.669 5.032 2.937
3.669 2.540 7.261
3.669 2.540 10.187
3.669 7.525 7.261
3.669 7.525 10.187
3.669 5.032 14.512
```



Diffraction record for ThCd2In. The powder diffractogram is theoretical, not measured: it uses the GGA-PBE geometry in Alexandria and Cu Kα.
Intensities are scaled so that the largest is 100.

The 10 most intense peaks (2θ from 10° to 90°), sorted by position:
| 2theta | I_rel |
| --- | --- |
| 19.0 | 6 |
| 26.6 | 6 |
| 32.9 | 100 |
| 37.4 | 18 |
| 38.6 | 32 |
| 54.9 | 23 |
| 55.8 | 11 |
| 64.7 | 14 |
| 66.3 | 26 |
| 69.1 | 11 |

Atomic structure:
```
ThCd2In
1.0
4.661 0.000 0.000
0.000 4.661 0.000
0.000 0.000 4.808
Th Cd In
1 2 1
Cartesian
0.000 0.000 0.000
0.000 2.330 2.404
2.330 0.000 2.404
2.330 2.330 0.000
```



Diffraction record for ThCd17In. The powder diffractogram is theoretical, not measured: it uses the GGA-PBE geometry in Alexandria and Cu Kα.
Intensities are scaled so that the largest is 100.

The 10 most intense peaks (2θ from 10° to 90°), sorted by position:
| 2theta | I_rel |
| --- | --- |
| 30.5 | 25 |
| 31.1 | 18 |
| 35.4 | 100 |
| 35.5 | 19 |
| 36.0 | 24 |
| 39.8 | 39 |
| 50.9 | 9 |
| 63.5 | 12 |
| 63.7 | 11 |
| 74.9 | 9 |

Atomic structure:
```
ThCd17In
1.0
5.076 2.931 5.056
-5.076 2.931 5.056
0.000 -5.862 5.056
Th Cd In
1 17 1
Cartesian
0.000 0.000 0.000
-1.551 -2.663 5.000
-3.081 -0.012 5.000
-2.856 -1.649 7.800
0.000 0.000 3.462
1.551 -2.663 5.000
-1.530 2.675 5.000
0.000 -2.761 7.569
-2.391 1.381 7.569
0.000 0.000 6.472
-2.659 -1.535 12.272
3.081 -0.012 5.000
1.530 2.675 5.000
2.856 -1.649 7.800
0.000 3.298 7.800
2.391 1.381 7.569
2.659 -1.535 12.272
0.000 3.070 12.272
0.000 0.000 10.583
```



Diffraction record for Ti6CdIn5. The powder diffractogram is theoretical, not measured: it uses the GGA-PBE geometry in Alexandria and Cu Kα.
Intensities are scaled so that the largest is 100.

The 10 most intense peaks (2θ from 10° to 90°), sorted by position:
| 2theta | I_rel |
| --- | --- |
| 20.8 | 18 |
| 29.9 | 15 |
| 36.7 | 100 |
| 42.3 | 16 |
| 42.7 | 16 |
| 42.8 | 16 |
| 61.7 | 20 |
| 73.7 | 12 |
| 74.2 | 11 |
| 74.4 | 11 |

Atomic structure:
```
Ti6CdIn5
1.0
4.235 0.000 0.000
0.000 8.541 0.000
-2.106 0.000 6.337
Ti Cd In
6 1 5
Cartesian
0.000 2.127 0.000
0.000 6.415 0.000
0.008 2.140 4.219
0.008 6.402 4.219
2.122 2.140 2.117
2.122 6.402 2.117
2.118 4.271 0.000
0.004 4.271 2.082
0.004 0.000 2.115
2.118 0.000 0.000
2.126 0.000 4.222
2.125 4.271 4.255
```



Diffraction record for Ti7CdIn3. The powder diffractogram is theoretical, not measured: it uses the GGA-PBE geometry in Alexandria and Cu Kα.
Intensities are scaled so that the largest is 100.

The 10 most intense peaks (2θ from 10° to 90°), sorted by position:
| 2theta | I_rel |
| --- | --- |
| 18.9 | 40 |
| 27.2 | 43 |
| 28.0 | 61 |
| 36.3 | 68 |
| 37.7 | 41 |
| 38.0 | 100 |
| 38.3 | 44 |
| 39.3 | 30 |
| 39.7 | 53 |
| 53.3 | 25 |

Atomic structure:
```
Ti7CdIn3
1.0
5.184 -4.778 0.000
5.184 4.778 0.000
-2.099 0.000 4.499
Ti Cd In
7 1 3
Cartesian
0.000 0.000 0.000
2.426 2.022 1.295
1.181 0.000 3.856
5.842 2.022 3.204
2.426 -2.022 1.295
7.087 0.000 0.643
5.842 -2.022 3.204
-1.050 0.000 2.250
5.184 2.039 0.000
4.134 0.000 2.250
5.184 -2.039 0.000
```



Diffraction record for Tl2CdIn8. The powder diffractogram is theoretical, not measured: it uses the GGA-PBE geometry in Alexandria and Cu Kα.
Intensities are scaled so that the largest is 100.

The 10 most intense peaks (2θ from 10° to 90°), sorted by position:
| 2theta | I_rel |
| --- | --- |
| 31.8 | 100 |
| 32.1 | 99 |
| 32.6 | 100 |
| 33.4 | 90 |
| 34.0 | 83 |
| 37.2 | 65 |
| 42.6 | 47 |
| 49.5 | 28 |
| 52.1 | 23 |
| 58.6 | 32 |

Atomic structure:
```
Tl2CdIn8
1.0
5.557 0.000 0.000
-1.945 5.731 0.000
-0.176 -0.994 9.545
Tl Cd In
2 1 8
Cartesian
0.000 0.000 0.000
0.093 1.291 6.889
3.229 3.315 2.590
0.028 0.513 3.443
0.402 3.135 0.899
0.492 3.580 4.211
0.626 4.418 7.678
2.791 0.396 1.773
2.834 0.868 5.086
2.917 1.627 8.770
3.310 3.866 5.986
```



Diffraction record for Tl3Cd4In7. The powder diffractogram is theoretical, not measured: it uses the GGA-PBE geometry in Alexandria and Cu Kα.
Intensities are scaled so that the largest is 100.

The 10 most intense peaks (2θ from 10° to 90°), sorted by position:
| 2theta | I_rel |
| --- | --- |
| 29.3 | 28 |
| 30.3 | 74 |
| 30.6 | 100 |
| 30.9 | 97 |
| 31.9 | 67 |
| 32.6 | 27 |
| 32.9 | 41 |
| 37.0 | 37 |
| 37.4 | 29 |
| 38.3 | 80 |

Atomic structure:
```
Tl3Cd4In7
1.0
9.177 -2.351 0.000
9.177 2.351 0.000
-6.906 0.000 9.050
Tl Cd In
3 4 7
Cartesian
0.000 0.000 0.000
3.344 0.000 2.616
8.104 0.000 6.434
-3.212 0.000 7.632
1.520 0.000 6.745
9.928 0.000 2.305
14.660 0.000 1.418
-3.453 0.000 4.525
-0.130 0.000 4.086
-0.454 0.000 8.895
4.445 0.000 6.111
7.003 0.000 2.939
11.902 0.000 0.155
11.578 0.000 4.964
```